This entry pairs a crystal structure of CeTiPt with its theoretical powder X-ray diffraction pattern. Radiation: Cu Kα X-rays. Structure: DFT lattice parameters and positions (GGA-PBE).
Kinematic intensities with the Lorentz-polarization factor, no thermal factor.

The 6 most intense peaks (10° ≤ 2θ ≤ 90°), in order of falling intensity:
d/Å  2θ/deg  intensity
3.137  28.45  100
2.338  38.51  37
2.148  42.06  36
3.088  28.91  36
2.083  43.43  29
1.772  51.57  24

Structural model:
Cell: 7.315 7.190 4.570 Å, 73.13 70.15 36.72°
Sites, in units of the cell vectors:
Ce  0.201  0.799  0.201
Ce  0.799  0.201  0.799
Ti  0.250  0.250  0.250
Ti  0.750  0.750  0.750
Pt  0.343  0.343  0.657
Pt  0.657  0.657  0.343


This entry pairs a crystal structure of Ce2TiZnPt6 with its theoretical powder X-ray diffraction pattern. Radiation: Cu Kα X-rays. Structure: DFT lattice parameters and positions (GGA-PBE).
Kinematic intensities with the Lorentz-polarization factor, no thermal factor.

The 6 most intense peaks (10° ≤ 2θ ≤ 90°), in order of falling intensity:
d/Å  2θ/deg  intensity
2.279  39.55  100
2.418  37.18  97
3.930  22.63  73
1.893  48.05  36
1.427  65.42  28
2.309  39.01  26

Structural model:
Cell: 8.522 8.522 8.522 Å, 39.12 39.12 39.12°
Sites, in units of the cell vectors:
Ce  0.209  0.209  0.209
Ce  0.791  0.791  0.791
Ti  0.500  0.500  0.500
Zn  0.000  0.000  0.000
Pt  0.239  0.749  0.749
Pt  0.251  0.251  0.761
Pt  0.251  0.761  0.251
Pt  0.749  0.239  0.749
Pt  0.749  0.749  0.239
Pt  0.761  0.251  0.251


This entry pairs a crystal structure of Ce2TlPt9 with its theoretical powder X-ray diffraction pattern. Radiation: Cu Kα X-rays. Structure: DFT lattice parameters and positions (GGA-PBE).
Kinematic intensities with the Lorentz-polarization factor, no thermal factor.

The 6 most intense peaks (10° ≤ 2θ ≤ 90°), in order of falling intensity:
d/Å  2θ/deg  intensity
2.327  38.70  100
2.162  41.79  55
2.230  40.44  34
2.729  32.82  33
2.352  38.27  27
1.363  68.87  24

Structural model:
Cell: 9.467 9.467 9.467 Å, 33.48 33.48 33.48°
Sites, in units of the cell vectors:
Ce  0.136  0.136  0.136
Ce  0.864  0.864  0.864
Tl  0.000  0.000  0.000
Pt  0.081  0.588  0.588
Pt  0.332  0.332  0.332
Pt  0.412  0.412  0.919
Pt  0.412  0.919  0.412
Pt  0.500  0.500  0.500
Pt  0.588  0.081  0.588
Pt  0.588  0.588  0.081
Pt  0.668  0.668  0.668
Pt  0.919  0.412  0.412


This entry pairs a crystal structure of Ce2TmPt3 with its theoretical powder X-ray diffraction pattern. Radiation: Cu Kα X-rays. Structure: DFT lattice parameters and positions (GGA-PBE).
Kinematic intensities with the Lorentz-polarization factor, no thermal factor.

The 6 most intense peaks (10° ≤ 2θ ≤ 90°), in order of falling intensity:
d/Å  2θ/deg  intensity
2.896  30.88  100
2.046  44.26  63
1.294  73.16  17
1.674  54.83  13
1.669  55.01  13
1.181  81.53  13

Structural model:
Cell: 7.084 7.084 8.215 Å, 106.84 106.84 48.18°
Sites, in units of the cell vectors:
Ce  0.167  0.167  0.084
Ce  0.167  0.167  0.584
Ce  0.833  0.833  0.416
Ce  0.833  0.833  0.916
Tm  0.499  0.501  0.750
Tm  0.501  0.499  0.250
Pt  0.001  0.999  0.250
Pt  0.335  0.335  0.418
Pt  0.335  0.335  0.918
Pt  0.665  0.665  0.082
Pt  0.665  0.665  0.582
Pt  0.999  0.001  0.750


This entry pairs a crystal structure of CeTmPt with its theoretical powder X-ray diffraction pattern. Radiation: Cu Kα X-rays. Structure: DFT lattice parameters and positions (GGA-PBE).
Kinematic intensities with the Lorentz-polarization factor, no thermal factor.

The 6 most intense peaks (10° ≤ 2θ ≤ 90°), in order of falling intensity:
d/Å  2θ/deg  intensity
2.817  31.77  100
2.934  30.47  100
2.491  36.05  96
2.278  39.56  94
2.921  30.60  84
2.712  33.03  76

Structural model:
Cell: 6.560 7.292 6.851 Å, 90.00 95.05 90.00°
Sites, in units of the cell vectors:
Ce  0.081  0.235  0.003
Ce  0.081  0.265  0.503
Ce  0.919  0.735  0.497
Ce  0.919  0.765  0.997
Tm  0.403  0.610  0.219
Tm  0.403  0.890  0.719
Tm  0.597  0.110  0.281
Tm  0.597  0.390  0.781
Pt  0.217  0.556  0.805
Pt  0.217  0.944  0.305
Pt  0.783  0.056  0.695
Pt  0.783  0.444  0.195


This entry pairs a crystal structure of CeYPt3 with its theoretical powder X-ray diffraction pattern. Radiation: Cu Kα X-rays. Structure: DFT lattice parameters and positions (GGA-PBE).
Kinematic intensities with the Lorentz-polarization factor, no thermal factor.

The 6 most intense peaks (10° ≤ 2θ ≤ 90°), in order of falling intensity:
d/Å  2θ/deg  intensity
2.556  35.12  100
2.472  36.35  61
2.453  36.63  50
2.605  34.43  44
2.065  43.83  40
3.827  23.24  37

Structural model:
Cell: 7.110 7.841 7.654 Å, 90.00 90.00 90.00°
Sites, in units of the cell vectors:
Ce  0.214  0.140  0.000
Ce  0.286  0.640  0.500
Ce  0.714  0.360  0.500
Ce  0.786  0.860  0.000
Y  0.207  0.137  0.500
Y  0.293  0.637  0.000
Y  0.707  0.363  0.000
Y  0.793  0.863  0.500
Pt  0.000  0.500  0.248
Pt  0.000  0.500  0.752
Pt  0.118  0.856  0.249
Pt  0.118  0.856  0.751
Pt  0.382  0.356  0.251
Pt  0.382  0.356  0.749
Pt  0.500  0.000  0.252
Pt  0.500  0.000  0.748
Pt  0.618  0.644  0.251
Pt  0.618  0.644  0.749
Pt  0.882  0.144  0.249
Pt  0.882  0.144  0.751


Question: Number 3 is which compound?
Answer: Ce2TlPt9